For K4Na3Cd, a cell relaxed with GGA-PBE gives the calculated powder diffraction line list in this record (a wavelength of 1.5418 Å).

Most intense lines, 2θ from 10° to 80°, in order of rising 2θ:
2θ = 11.99°, intensity 23, (0 0 2); 2θ = 15.97°, intensity 26, (0 1 1); 2θ = 25.36°, intensity 100, (1 1 1); 2θ = 26.73°, intensity 50, (1 0 3); 2θ = 28.41°, intensity 66, (0 1 4); 2θ = 29.83°, intensity 40, (0 2 0); 2θ = 30.69°, intensity 48, (1 1 3); 2θ = 39.76°, intensity 17, (2 0 0); 2θ = 40.48°, intensity 30, (1 2 3); 2θ = 49.58°, intensity 25, (2 1 4)

Cell and atoms:
abc: 4.5344 5.9907 14.7618
angles: 90.00 90.00 90.00
Fractional positions:
1 K 0.0000 0.0000 0.0000
2 K 0.0000 0.5000 0.2873
3 K 0.5000 0.0000 0.4618
4 K 0.5000 0.5000 0.8068
5 Na 0.0000 0.0000 0.7025
6 Na 0.0000 0.5000 0.5716
7 Na 0.5000 0.5000 0.0845
8 Cd 0.5000 0.0000 0.2031